(1)
Diffraction record for In4PbCl6. The X-ray powder pattern is simulated, not measured: it uses a DFT-relaxed cell (GGA-PBE, Alexandria) and CuKα.
Lines closer than 0.1° are merged.

Structure:
Unit cell a=8.999 b=8.999 c=8.999 alpha=90.92 beta=90.92 gamma=90.92
Element x y z (fractional)
In1 0.100 0.750 0.400
In2 0.250 0.250 0.250
In3 0.250 0.600 0.900
In4 0.400 0.100 0.750
In5 0.600 0.900 0.250
In6 0.750 0.400 0.100
In7 0.750 0.750 0.750
In8 0.900 0.250 0.600
Pb1 0.000 0.000 0.000
Pb2 0.500 0.500 0.500
Cl1 0.054 0.927 0.690
Cl2 0.073 0.310 0.946
Cl3 0.190 0.427 0.554
Cl4 0.310 0.946 0.073
Cl5 0.427 0.554 0.190
Cl6 0.446 0.810 0.573
Cl7 0.554 0.190 0.427
Cl8 0.573 0.446 0.810
Cl9 0.690 0.054 0.927
Cl10 0.810 0.573 0.446
Cl11 0.927 0.690 0.054
Cl12 0.946 0.073 0.310

Largest 10 diffraction maxima, sorted by position, 2θ = 10–90°:
d [Å]	Position (°2θ)	I (rel.)
6.414	13.8	24.9
3.998	22.2	40.3
3.703	24.0	100.0
3.155	28.3	27.1
2.831	31.6	53.5
2.717	33.0	48.4
2.191	41.2	20.7
2.138	42.3	26.4
2.123	42.6	22.4
1.852	49.2	22.4


(2)
Diffraction record for In2PbCl4. The X-ray powder pattern is simulated, not measured: it uses a DFT-relaxed cell (GGA-PBE, Alexandria) and CuKα.
Lines closer than 0.1° are merged.

Structure:
Unit cell a=8.244 b=13.091 c=4.434 alpha=90.00 beta=90.00 gamma=90.00
Element x y z (fractional)
In1 0.063 0.196 0.000
In2 0.437 0.696 0.000
In3 0.563 0.304 0.000
In4 0.937 0.804 0.000
Pb1 0.000 0.500 0.500
Pb2 0.500 0.000 0.500
Cl1 0.149 0.701 0.500
Cl2 0.204 0.427 0.000
Cl3 0.296 0.927 0.000
Cl4 0.351 0.201 0.500
Cl5 0.649 0.799 0.500
Cl6 0.704 0.073 0.000
Cl7 0.796 0.573 0.000
Cl8 0.851 0.299 0.500

Largest 10 diffraction maxima, sorted by position, 2θ = 10–90°:
d [Å]	Position (°2θ)	I (rel.)
6.976	12.7	75.6
4.122	21.6	33.9
3.857	23.1	93.7
3.742	23.8	100.0
3.671	24.2	50.3
2.942	30.4	43.5
2.741	32.7	91.9
2.217	40.7	35.8
2.175	41.5	71.2
1.922	47.3	28.7


(3)
Diffraction record for RbInPbCl6. The X-ray powder pattern is simulated, not measured: it uses a DFT-relaxed cell (GGA-PBE, Alexandria) and CuKα.
Lines closer than 0.1° are merged.

Structure:
Unit cell a=7.260 b=7.260 c=13.904 alpha=90.00 beta=90.00 gamma=120.00
Element x y z (fractional)
Rb1 0.000 0.000 0.000
Rb2 0.000 0.000 0.500
In1 0.333 0.667 0.250
In2 0.667 0.333 0.750
Pb1 0.333 0.667 0.750
Pb2 0.667 0.333 0.250
Cl1 0.037 0.391 0.142
Cl2 0.037 0.647 0.358
Cl3 0.353 0.391 0.358
Cl4 0.353 0.963 0.142
Cl5 0.391 0.037 0.642
Cl6 0.391 0.353 0.858
Cl7 0.609 0.647 0.142
Cl8 0.609 0.963 0.358
Cl9 0.647 0.037 0.858
Cl10 0.647 0.609 0.642
Cl11 0.963 0.353 0.642
Cl12 0.963 0.609 0.858

Largest 10 diffraction maxima, sorted by position, 2θ = 10–90°:
d [Å]	Position (°2θ)	I (rel.)
6.952	12.7	50.2
6.288	14.1	16.4
4.663	19.0	100.0
3.630	24.5	39.6
3.218	27.7	46.4
2.865	31.2	25.4
2.511	35.8	79.9
2.249	40.1	30.0
2.096	43.2	29.2
1.609	57.3	18.3


(4)
Diffraction record for RbInPb2Cl8. The X-ray powder pattern is simulated, not measured: it uses a DFT-relaxed cell (GGA-PBE, Alexandria) and CuKα.
Lines closer than 0.1° are merged.

Structure:
Unit cell a=6.510 b=6.761 c=8.937 alpha=89.98 beta=89.92 gamma=88.73
Element x y z (fractional)
Rb1 0.000 0.000 0.000
In1 0.000 0.000 0.500
Pb1 0.500 0.500 0.255
Pb2 0.500 0.500 0.745
Cl1 0.231 0.312 0.500
Cl2 0.231 0.849 0.703
Cl3 0.232 0.850 0.297
Cl4 0.272 0.383 0.000
Cl5 0.728 0.617 0.000
Cl6 0.768 0.150 0.703
Cl7 0.769 0.151 0.297
Cl8 0.769 0.688 0.500

Largest 10 diffraction maxima, sorted by position, 2θ = 10–90°:
d [Å]	Position (°2θ)	I (rel.)
4.741	18.7	100.0
4.637	19.1	93.7
3.728	23.9	58.2
3.684	24.2	98.2
3.252	27.4	47.1
2.506	35.8	39.4
2.475	36.3	35.4
2.466	36.4	51.6
2.437	36.9	56.9
2.012	45.1	61.0